Structure and simulated powder diffraction line list of Tm6CoTc (a GGA-PBE-relaxed structure; Cu Kα (weighted mean of Kα1 and Kα2)).

Structural model:
a = 6.3029 Å, b = 6.3029 Å, c = 5.9093 Å
α = 90.00°, β = 90.00°, γ = 120.00°
Space group P-31m (No. 162)
Symmetry-distinct sites (fractional):
Tm  0.0000  0.3563  0.2547
Co  0.0000  0.0000  0.5000
Tc  0.0000  0.0000  0.0000

The 10 most intense peaks (5° ≤ 2θ ≤ 70°), in order of falling intensity:
2theta  d/Å  I_rel  (hkl)
32.2  2.781  1000  2 -1 1
41.9  2.155  288  1 1 2
50.1  1.819  244  3 0 0
55.0  1.670  220  2 -1 3
30.2  2.955  190  0 0 2
59.7  1.549  147  3 0 2
60.8  1.523  146  2 2 1
28.3  3.151  103  1 1 0
32.8  2.729  77  2 0 0
34.5  2.598  67  1 0 2